Structure and simulated X-ray diffraction stick pattern of LiSc3Br8 (a DFT-relaxed cell (GGA-PBE, Alexandria); Cu Kα X-rays).
Lines closer than 0.1° are merged.

Structure:
```
data_LiSc3Br8
_chemical_formula_sum 'Li2 Sc6 Br16'
_space_group_name_H-M_alt 'C 1 2/m 1'
_space_group_IT_number 12
_cell_length_a 13.3668
_cell_length_b 7.7049
_cell_length_c 8.4098
_cell_angle_alpha 90.00
_cell_angle_beta 122.82
_cell_angle_gamma 90.00
loop_
_space_group_symop_operation_xyz
'x,y,z'
'-x,-y,-z'
'-x,y,-z'
'x,-y,z'
'x+1/2,y+1/2,z'
'-x+1/2,-y+1/2,-z'
'-x+1/2,y+1/2,-z'
'x+1/2,-y+1/2,z'
loop_
_atom_site_label
_atom_site_type_symbol
_atom_site_fract_x
_atom_site_fract_y
_atom_site_fract_z
_atom_site_occupancy
Li1 Li 0.0000 0.0000 0.0000 1
Sc1 Sc 0.0000 0.5000 0.0000 1
Sc2 Sc 0.2500 0.2500 0.0000 1
Br1 Br 0.0085 0.2510 0.7794 1
Br2 Br 0.2426 0.0000 0.2210 1
Br3 Br 0.2452 0.5000 0.2312 1
```

Top 12 peaks for 2θ = 10–90°, by angle:
- 2θ = 12.53°, intensity 51
- 2θ = 25.20°, intensity 34
- 2θ = 27.88°, intensity 30
- 2θ = 28.09°, intensity 59
- 2θ = 31.57°, intensity 100
- 2θ = 31.87°, intensity 50
- 2θ = 40.05°, intensity 14
- 2θ = 43.26°, intensity 17
- 2θ = 43.77°, intensity 35
- 2θ = 47.15°, intensity 50
- 2θ = 58.07°, intensity 17
- 2θ = 65.93°, intensity 10